BiB4Au: simulated powder XRD pattern (Cu Kα (weighted mean of Kα1 and Kα2)), based on a GGA-PBE-relaxed structure.
Intensities are scaled so that the largest is 100.

The 8 most intense peaks (2θ = 15–90°), in order of rising 2θ:
| d (Å) | Position (°2θ) | intensity | index |
| --- | --- | --- | --- |
| 4.413 | 20.12 | 66.5 | 0 0 2 |
| 2.693 | 33.27 | 66.2 | 1 0 0 |
| 2.299 | 39.19 | 100.0 | 1 0 2 |
| 1.707 | 53.71 | 36.0 | 1 0 4 |
| 1.466 | 63.44 | 20.6 | 1 1 2 |
| 1.291 | 73.34 | 16.1 | 1 0 6 |
| 1.288 | 73.55 | 16.3 | 2 0 2 |
| 1.271 | 74.69 | 16.3 | 1 1 4 |

Cell and atoms:
Unit cell a=3.1093 b=3.1093 c=8.8259 alpha=90.00 beta=90.00 gamma=120.00
Element x y z (fractional)
Bi  0.0000  0.0000  0.0000
B  0.3333  0.6667  0.2749
B  0.3333  0.6667  0.7251
B  0.6667  0.3333  0.2749
B  0.6667  0.3333  0.7251
Au  0.0000  0.0000  0.5000